(1)
For Rb2AsHI6, the PBE geometry in Alexandria gives the theoretical X-ray powder pattern in this record (Cu Kα).

The 12 most intense peaks (2θ = 10–90°), in order of falling intensity:
- 27.0°, I 1000
- 33.0°, I 423
- 43.4°, I 346
- 27.4°, I 318
- 55.3°, I 242
- 55.6°, I 159
- 48.2°, I 151
- 47.4°, I 146
- 69.9°, I 90
- 85.4°, I 86
- 26.9°, I 80
- 43.7°, I 76

Atomic structure:
```
data_Rb2AsHI6
_cell_length_a 8.470
_cell_length_b 8.470
_cell_length_c 8.470
_cell_angle_alpha 126.10
_cell_angle_beta 126.10
_cell_angle_gamma 79.73
_symmetry_space_group_name_H-M 'P 1'
_symmetry_Int_Tables_number 1
_symmetry_space_group_name_Hall 'P 1'
loop_
_atom_site_label
_atom_site_fract_x
_atom_site_fract_y
_atom_site_fract_z
_atom_site_occupancy
Rb1 0.250 0.750 0.500 1
Rb2 0.750 0.250 0.500 1
As1 0.000 0.000 0.000 1
H1 0.500 0.500 0.000 1
I1 0.223 0.223 0.000 1
I2 0.265 0.265 0.529 1
I3 0.265 0.735 0.000 1
I4 0.735 0.265 0.000 1
I5 0.735 0.735 0.471 1
I6 0.777 0.777 0.000 1
```


(2)
For PmHo3Ni2, the PBE geometry in Alexandria gives the theoretical X-ray powder pattern in this record (Cu Kα).

The 12 most intense peaks (2θ = 10–90°), in order of falling intensity:
- 32.6°, I 1000
- 29.3°, I 683
- 31.8°, I 456
- 30.4°, I 441
- 33.6°, I 430
- 36.2°, I 365
- 46.6°, I 334
- 41.7°, I 284
- 32.2°, I 270
- 56.0°, I 245
- 58.1°, I 243
- 40.9°, I 237

Atomic structure:
```
data_PmHo3Ni2
_cell_length_a 8.268
_cell_length_b 8.268
_cell_length_c 11.444
_cell_angle_alpha 122.57
_cell_angle_beta 122.57
_cell_angle_gamma 27.29
_symmetry_space_group_name_H-M 'P 1'
_symmetry_Int_Tables_number 1
_symmetry_space_group_name_Hall 'P 1'
loop_
_atom_site_label
_atom_site_fract_x
_atom_site_fract_y
_atom_site_fract_z
_atom_site_occupancy
Pm1 0.151 0.151 0.244 1
Pm2 0.849 0.849 0.756 1
Ho1 0.154 0.154 0.747 1
Ho2 0.416 0.416 0.062 1
Ho3 0.418 0.418 0.556 1
Ho4 0.582 0.582 0.444 1
Ho5 0.584 0.584 0.938 1
Ho6 0.846 0.846 0.253 1
Ni1 0.231 0.231 0.550 1
Ni2 0.232 0.232 0.048 1
Ni3 0.768 0.768 0.952 1
Ni4 0.769 0.769 0.450 1
```


(3)
For CrMo4W7, the PBE geometry in Alexandria gives the theoretical X-ray powder pattern in this record (Cu Kα).

The 12 most intense peaks (2θ = 10–90°), in order of falling intensity:
- 40.5°, I 1000
- 40.3°, I 997
- 58.4°, I 334
- 73.2°, I 172
- 73.5°, I 169
- 73.6°, I 168
- 73.4°, I 113
- 87.2°, I 76
- 87.4°, I 76
- 20.2°, I 70
- 73.4°, I 59
- 23.3°, I 50

Atomic structure:
```
data_CrMo4W7
_cell_length_a 2.744
_cell_length_b 7.718
_cell_length_c 9.327
_cell_angle_alpha 105.88
_cell_angle_beta 95.64
_cell_angle_gamma 90.09
_symmetry_space_group_name_H-M 'P 1'
_symmetry_Int_Tables_number 1
_symmetry_space_group_name_Hall 'P 1'
loop_
_atom_site_label
_atom_site_fract_x
_atom_site_fract_y
_atom_site_fract_z
_atom_site_occupancy
Cr1 0.000 0.000 0.000 1
Mo1 0.084 0.583 0.248 1
Mo2 0.166 0.166 0.499 1
Mo3 0.251 0.754 0.753 1
Mo4 0.331 0.329 0.999 1
W1 0.411 0.918 0.245 1
W2 0.498 0.500 0.499 1
W3 0.585 0.082 0.754 1
W4 0.669 0.671 0.999 1
W5 0.751 0.246 0.245 1
W6 0.836 0.834 0.500 1
W7 0.920 0.417 0.751 1
```


(4)
For Tb4Ni3Ge8, the PBE geometry in Alexandria gives the theoretical X-ray powder pattern in this record (Cu Kα).

The 12 most intense peaks (2θ = 10–90°), in order of falling intensity:
- 34.8°, I 1000
- 34.6°, I 306
- 39.3°, I 243
- 43.8°, I 243
- 44.2°, I 237
- 63.9°, I 154
- 31.2°, I 151
- 57.3°, I 142
- 74.6°, I 139
- 60.3°, I 137
- 54.5°, I 126
- 72.6°, I 109

Atomic structure:
```
data_Tb4Ni3Ge8
_cell_length_a 4.102
_cell_length_b 4.136
_cell_length_c 16.601
_cell_angle_alpha 90.00
_cell_angle_beta 90.00
_cell_angle_gamma 90.00
_symmetry_space_group_name_H-M 'P 1'
_symmetry_Int_Tables_number 1
_symmetry_space_group_name_Hall 'P 1'
loop_
_atom_site_label
_atom_site_fract_x
_atom_site_fract_y
_atom_site_fract_z
_atom_site_occupancy
Tb1 0.000 0.000 0.000 1
Tb2 0.000 0.500 0.495 1
Tb3 0.500 0.000 0.787 1
Tb4 0.500 0.500 0.284 1
Ni1 0.000 0.500 0.714 1
Ni2 0.500 0.000 0.570 1
Ni3 0.500 0.500 0.080 1
Ge1 0.000 0.000 0.336 1
Ge2 0.000 0.000 0.642 1
Ge3 0.000 0.500 0.151 1
Ge4 0.000 0.500 0.853 1
Ge5 0.500 0.000 0.151 1
Ge6 0.500 0.000 0.430 1
Ge7 0.500 0.500 0.641 1
Ge8 0.500 0.500 0.941 1
```